Diffraction record for VHF5. The powder diffractogram is computed, not measured: it uses a PBE+U-relaxed structure and Cu Kα, 1.54184 Å.
Intensities are scaled so that the largest is 100.

Main lines, sorted by position (10° ≤ 2θ ≤ 80°):
| 2theta | d_spacing | I_rel |
| --- | --- | --- |
| 18.31 | 4.845 | 95 |
| 18.94 | 4.686 | 39 |
| 26.01 | 3.426 | 90 |
| 26.46 | 3.368 | 92 |
| 32.37 | 2.765 | 31 |
| 34.99 | 2.564 | 100 |
| 46.16 | 1.967 | 31 |
| 53.50 | 1.713 | 23 |
| 54.49 | 1.684 | 27 |
| 57.98 | 1.591 | 34 |

Crystal structure
```
14
Lattice="6.851 0.000 0.000 0.000 6.851 0.000 0.000 0.000 4.686" Properties=species:S:1:pos:R:3 pbc="T T T"
V 1.713 5.139 0.000
V 5.139 1.713 0.000
H 1.713 1.713 2.290
H 5.139 5.139 2.396
F 0.340 5.139 1.112
F 1.713 1.713 1.344
F 1.713 3.766 3.574
F 1.713 6.511 3.574
F 3.085 5.139 1.112
F 3.766 1.713 3.574
F 5.139 0.340 1.112
F 5.139 3.085 1.112
F 5.139 5.139 3.342
F 6.511 1.713 3.574
```



Diffraction record for HWF. The powder diffractogram is computed, not measured: it uses a PBE+U-relaxed structure and Cu Kα, 1.54184 Å.
Intensities are scaled so that the largest is 100.

Main lines, sorted by position (10° ≤ 2θ ≤ 80°):
| 2theta | d_spacing | I_rel |
| --- | --- | --- |
| 11.89 | 7.446 | 100 |
| 29.85 | 2.993 | 38 |
| 35.93 | 2.500 | 11 |
| 36.58 | 2.457 | 31 |
| 37.97 | 2.370 | 8 |
| 41.77 | 2.162 | 17 |
| 43.59 | 2.076 | 16 |
| 45.90 | 1.977 | 24 |
| 56.27 | 1.635 | 6 |
| 56.92 | 1.618 | 6 |

Crystal structure
```
12
Lattice="7.446 0.000 0.000 0.000 4.999 0.000 0.000 0.000 4.323" Properties=species:S:1:pos:R:3 pbc="T T T"
H 1.097 0.648 1.081
H 1.097 1.851 3.242
H 6.348 3.148 1.081
H 6.348 4.351 3.242
W 0.737 2.741 1.081
W 0.737 4.758 3.242
W 6.709 0.242 1.081
W 6.709 2.258 3.242
F 2.639 2.626 1.081
F 2.639 4.873 3.242
F 4.807 0.126 1.081
F 4.807 2.373 3.242
```



Diffraction record for H6WF12. The powder diffractogram is computed, not measured: it uses a PBE+U-relaxed structure and Cu Kα, 1.54184 Å.
Intensities are scaled so that the largest is 100.

Main lines, sorted by position (10° ≤ 2θ ≤ 80°):
| 2theta | d_spacing | I_rel |
| --- | --- | --- |
| 13.99 | 6.332 | 75 |
| 19.83 | 4.478 | 100 |
| 24.36 | 3.654 | 32 |
| 28.19 | 3.166 | 15 |
| 31.60 | 2.831 | 46 |
| 34.68 | 2.587 | 26 |
| 42.81 | 2.112 | 18 |
| 45.29 | 2.002 | 27 |
| 47.59 | 1.911 | 10 |
| 54.16 | 1.693 | 22 |

Crystal structure
```
19
Lattice="4.484 2.589 3.645 -4.484 2.589 3.645 0.000 -5.178 3.645" Properties=species:S:1:pos:R:3 pbc="T T T"
H -3.622 -1.863 5.917
H -0.198 -4.068 5.019
H -3.424 2.205 5.019
H 3.424 -2.205 5.917
H 0.198 4.068 5.917
H 3.622 1.863 5.019
W 0.000 0.000 5.468
F -3.022 -2.625 5.913
F -3.784 1.305 5.023
F -0.778 -1.319 4.377
F 0.762 -3.929 5.023
F -0.753 1.333 4.377
F -1.531 0.014 6.559
F 1.531 -0.014 4.377
F 0.753 -1.333 6.559
F -0.762 3.929 5.913
F 0.778 1.319 6.559
F 3.784 -1.305 5.913
F 3.022 2.625 5.023
```



Repeat the first record exactly.
Diffraction record for VHF5. The powder diffractogram is computed, not measured: it uses a PBE+U-relaxed structure and Cu Kα, 1.54184 Å.
Intensities are scaled so that the largest is 100.

Main lines, sorted by position (10° ≤ 2θ ≤ 80°):
| 2theta | d_spacing | I_rel |
| --- | --- | --- |
| 18.31 | 4.845 | 95 |
| 18.94 | 4.686 | 39 |
| 26.01 | 3.426 | 90 |
| 26.46 | 3.368 | 92 |
| 32.37 | 2.765 | 31 |
| 34.99 | 2.564 | 100 |
| 46.16 | 1.967 | 31 |
| 53.50 | 1.713 | 23 |
| 54.49 | 1.684 | 27 |
| 57.98 | 1.591 | 34 |

Crystal structure
```
14
Lattice="6.851 0.000 0.000 0.000 6.851 0.000 0.000 0.000 4.686" Properties=species:S:1:pos:R:3 pbc="T T T"
V 1.713 5.139 0.000
V 5.139 1.713 0.000
H 1.713 1.713 2.290
H 5.139 5.139 2.396
F 0.340 5.139 1.112
F 1.713 1.713 1.344
F 1.713 3.766 3.574
F 1.713 6.511 3.574
F 3.085 5.139 1.112
F 3.766 1.713 3.574
F 5.139 0.340 1.112
F 5.139 3.085 1.112
F 5.139 5.139 3.342
F 6.511 1.713 3.574
```